# 1
Theoretical powder diffractogram
Compound: Ba2V3O9
Radiation: copper Kα
Structure: the PBE+U geometry in the Materials Project
Kinematic intensities with the Lorentz-polarization factor, no thermal factor.

Main lines, sorted by position (2θ = 10–90°):
2θ/deg, I/Imax
23.60, 34
25.73, 100
28.09, 30
28.29, 45
29.94, 35
31.36, 56
32.59, 14
38.04, 24
41.66, 32
44.29, 13
44.85, 17
50.67, 20

Cell and atoms:
Lattice parameters (Å, degrees): 8.5115 5.9683 9.4735 90.00 114.28 90.00
Sites, in units of the cell vectors:
1 Ba 0.2011 0.0000 0.0904
2 Ba 0.2086 0.4976 0.7360
3 Ba 0.7914 0.9976 0.2640
4 Ba 0.7989 0.5000 0.9096
5 V 0.0823 0.4996 0.3107
6 V 0.4830 0.4998 0.1796
7 V 0.4869 0.7691 0.4936
8 V 0.5131 0.2691 0.5064
9 V 0.5170 0.9998 0.8204
10 V 0.9177 0.9996 0.6893
11 O 0.0107 0.7284 0.1897
12 O 0.0118 0.2681 0.1925
13 O 0.0163 0.0023 0.5665
14 O 0.2725 0.5004 0.0487
15 O 0.3201 0.5033 0.4253
16 O 0.3487 0.9979 0.4284
17 O 0.3862 0.9994 0.9164
18 O 0.4777 0.2465 0.7037
19 O 0.4791 0.7534 0.7037
20 O 0.5209 0.2534 0.2963
21 O 0.5223 0.7465 0.2963
22 O 0.6138 0.4994 0.0836
23 O 0.6513 0.4979 0.5716
24 O 0.6799 0.0033 0.5747
25 O 0.7275 0.0004 0.9513
26 O 0.9837 0.5023 0.4335
27 O 0.9882 0.7681 0.8075
28 O 0.9893 0.2284 0.8103


# 2
Theoretical powder diffractogram
Compound: BaV8O16
Radiation: copper Kα
Structure: the PBE+U geometry in the Materials Project
Kinematic intensities with the Lorentz-polarization factor, no thermal factor.

Main lines, sorted by position (2θ = 10–90°):
2θ/deg, I/Imax
15.93, 13
18.14, 19
21.91, 13
24.54, 17
27.48, 100
36.75, 49
39.26, 17
40.88, 37
48.26, 32
53.58, 23
57.97, 33
66.74, 26

Cell and atoms:
Lattice parameters (Å, degrees): 5.7802 7.3974 7.4006 87.81 78.73 78.75
Sites, in units of the cell vectors:
1 Ba 0.0000 0.0000 0.0000
2 V 0.1106 0.5172 0.1844
3 V 0.2031 0.8155 0.5163
4 V 0.3716 0.1819 0.4738
5 V 0.4616 0.4739 0.8173
6 V 0.6082 0.5266 0.1813
7 V 0.6988 0.8174 0.5266
8 V 0.8690 0.1851 0.4812
9 V 0.9627 0.4818 0.8147
10 O 0.0141 0.7060 0.3741
11 O 0.0569 0.2944 0.6249
12 O 0.1827 0.0446 0.3527
13 O 0.2038 0.6258 0.7046
14 O 0.2051 0.3531 0.9556
15 O 0.3601 0.6445 0.0434
16 O 0.3689 0.3775 0.2957
17 O 0.3821 0.9559 0.6437
18 O 0.5175 0.7041 0.3765
19 O 0.5550 0.2951 0.6222
20 O 0.6889 0.0435 0.3544
21 O 0.7033 0.6221 0.7042
22 O 0.7109 0.3546 0.9553
23 O 0.8653 0.6472 0.0435
24 O 0.8673 0.3743 0.2932
25 O 0.8871 0.9558 0.6468


# 3
Theoretical powder diffractogram
Compound: BaV2O6
Radiation: copper Kα
Structure: the PBE+U geometry in the Materials Project
Kinematic intensities with the Lorentz-polarization factor, no thermal factor.

Main lines, sorted by position (2θ = 10–90°):
2θ/deg, I/Imax
12.33, 36
23.37, 16
25.31, 66
25.60, 100
27.19, 68
29.78, 21
30.31, 21
31.86, 23
39.26, 32
40.89, 29
41.92, 18
47.81, 25

Cell and atoms:
Lattice parameters (Å, degrees): 7.7729 7.7729 8.0747 90.00 90.00 112.53
Sites, in units of the cell vectors:
1 Ba 0.0000 0.0000 0.0000
2 Ba 0.1645 0.8355 0.5000
3 Ba 0.8355 0.1645 0.5000
4 V 0.0000 0.5000 0.9339
5 V 0.2505 0.3986 0.2589
6 V 0.3986 0.2505 0.7411
7 V 0.5000 0.0000 0.0661
8 V 0.6014 0.7495 0.7411
9 V 0.7495 0.6014 0.2589
10 O 0.1296 0.6819 0.8166
11 O 0.1437 0.4108 0.0604
12 O 0.1655 0.1665 0.2986
13 O 0.1665 0.1655 0.7014
14 O 0.1710 0.4928 0.4114
15 O 0.3181 0.8704 0.1834
16 O 0.4108 0.1437 0.9396
17 O 0.4928 0.1710 0.5886
18 O 0.5000 0.5000 0.2471
19 O 0.5000 0.5000 0.7529
20 O 0.5072 0.8290 0.5886
21 O 0.5892 0.8563 0.9396
22 O 0.6819 0.1296 0.1834
23 O 0.8290 0.5072 0.4114
24 O 0.8335 0.8345 0.7014
25 O 0.8345 0.8335 0.2986
26 O 0.8563 0.5892 0.0604
27 O 0.8704 0.3181 0.8166


# 4
Theoretical powder diffractogram
Compound: BaV4O8
Radiation: copper Kα
Structure: the PBE+U geometry in the Materials Project
Kinematic intensities with the Lorentz-polarization factor, no thermal factor.

Main lines, sorted by position (2θ = 10–90°):
2θ/deg, I/Imax
11.13, 81
21.15, 48
28.81, 100
31.31, 81
33.32, 60
38.54, 17
43.06, 23
45.65, 15
54.19, 29
55.72, 27
56.39, 29
74.79, 17

Cell and atoms:
Lattice parameters (Å, degrees): 5.7144 5.7144 7.9500 90.00 90.00 120.00
Sites, in units of the cell vectors:
1 Ba 0.0000 0.0000 0.0000
2 V 0.3333 0.6667 0.2348
3 V 0.3333 0.6667 0.7652
4 V 0.6667 0.3333 0.2348
5 V 0.6667 0.3333 0.7652
6 O 0.0000 0.3689 0.2856
7 O 0.0000 0.6311 0.7144
8 O 0.3333 0.6667 0.0000
9 O 0.3689 0.0000 0.2856
10 O 0.3689 0.3689 0.7144
11 O 0.6311 0.0000 0.7144
12 O 0.6311 0.6311 0.2856
13 O 0.6667 0.3333 0.0000